Entry 1:
The following is a theoretical powder diffraction line list of Ce7Ga2. It was derived from DFT lattice parameters and positions (PBE), using Cu Kα (λ = 1.5418 Å).
Neutral-atom scattering factors, no anomalous dispersion.

Top 12 peaks for 10° ≤ 2θ ≤ 80°, by intensity:
33.90°, I = 100.0
35.37°, I = 86.7
34.45°, I = 48.8
35.50°, I = 23.9
61.61°, I = 21.7
50.22°, I = 19.9
61.36°, I = 18.1
71.58°, I = 13.7
49.35°, I = 12.0
62.31°, I = 11.4
71.33°, I = 10.7
21.91°, I = 10.1

Lattice parameters (Å, degrees): 9.210 5.206 9.167 90.00 90.49 90.00
Space group C2/m (No. 12)
Asymmetric unit:
Ce  0.000  0.000  0.000
Ce  0.010  0.000  0.312
Ce  0.156  0.500  0.501
Ce  0.162  0.500  0.198
Ga  0.167  0.500  0.848

=====

Entry 2:
The following is a theoretical powder diffraction line list of Ce5Ga. It was derived from DFT lattice parameters and positions (PBE), using Cu Kα (λ = 1.5418 Å).
Neutral-atom scattering factors, no anomalous dispersion.

Top 12 peaks for 10° ≤ 2θ ≤ 80°, by intensity:
33.82°, I = 100.0
37.22°, I = 20.1
38.75°, I = 15.0
64.94°, I = 14.9
41.66°, I = 14.7
57.08°, I = 11.6
71.03°, I = 11.4
54.82°, I = 10.9
71.14°, I = 9.9
67.01°, I = 9.3
58.20°, I = 9.1
22.39°, I = 5.3

Lattice parameters (Å, degrees): 4.336 13.942 4.832 90.00 90.00 90.00
Space group Cmmm (No. 65)
Asymmetric unit:
Ce  0.000  0.000  0.000
Ce  0.000  0.176  0.500
Ce  0.000  0.350  0.000
Ga  0.000  0.500  0.500

=====

Entry 3:
The following is a theoretical powder diffraction line list of Ce5Ga2. It was derived from DFT lattice parameters and positions (PBE), using Cu Kα (λ = 1.5418 Å).
Neutral-atom scattering factors, no anomalous dispersion.

Top 12 peaks for 10° ≤ 2θ ≤ 80°, by intensity:
33.49°, I = 100.0
34.29°, I = 92.4
38.23°, I = 34.0
38.65°, I = 33.2
41.08°, I = 28.6
57.36°, I = 20.7
57.67°, I = 20.5
65.61°, I = 13.6
66.20°, I = 13.3
54.41°, I = 12.2
67.07°, I = 12.0
67.64°, I = 11.9

Lattice parameters (Å, degrees): 10.295 4.395 7.521 90.00 97.13 90.00
Space group C2/m (No. 12)
Asymmetric unit:
Ce  0.000  0.000  0.000
Ce  0.133  0.000  0.436
Ce  0.213  0.500  0.149
Ga  0.078  0.500  0.723

=====

Entry 4:
The following is a theoretical powder diffraction line list of CeGa5. It was derived from DFT lattice parameters and positions (PBE), using Cu Kα (λ = 1.5418 Å).
Neutral-atom scattering factors, no anomalous dispersion.

Top 12 peaks for 10° ≤ 2θ ≤ 80°, by intensity:
36.91°, I = 100.0
37.32°, I = 97.2
35.75°, I = 52.8
40.60°, I = 38.3
55.19°, I = 29.6
72.63°, I = 23.6
51.77°, I = 19.3
65.54°, I = 16.8
67.79°, I = 16.8
71.45°, I = 14.6
71.72°, I = 13.6
24.66°, I = 10.9

Lattice parameters (Å, degrees): 4.444 6.188 8.602 90.00 90.00 90.00
Space group Immm (No. 71)
Asymmetric unit:
Ce  0.000  0.000  0.000
Ga  0.000  0.232  0.335
Ga  0.000  0.500  0.000

=====

Entry 5:
The following is a theoretical powder diffraction line list of CeGdScGa. It was derived from DFT lattice parameters and positions (PBE), using Cu Kα (λ = 1.5418 Å).
Neutral-atom scattering factors, no anomalous dispersion.

Top 10 peaks for 10° ≤ 2θ ≤ 80°, by intensity:
34.21°, I = 100.0
61.26°, I = 36.2
24.01°, I = 22.1
49.16°, I = 17.7
72.07°, I = 11.1
55.43°, I = 9.6
42.23°, I = 6.9
77.22°, I = 4.7
20.75°, I = 1.3
40.35°, I = 0.8

Lattice parameters (Å, degrees): 7.413 7.413 7.413 90.00 90.00 90.00
Space group F-43m (No. 216)
Asymmetric unit:
Ce  0.000  0.000  0.000
Gd  0.000  0.000  0.500
Sc  0.250  0.250  0.750
Ga  0.250  0.250  0.250

=====

Entry 6:
The following is a theoretical powder diffraction line list of Ce2Ga3Ge4. It was derived from DFT lattice parameters and positions (PBE), using Cu Kα (λ = 1.5418 Å).
Neutral-atom scattering factors, no anomalous dispersion.

Top 12 peaks for 10° ≤ 2θ ≤ 80°, by intensity:
36.94°, I = 100.0
35.42°, I = 89.8
35.21°, I = 71.4
33.75°, I = 57.5
58.99°, I = 32.9
38.02°, I = 32.6
32.06°, I = 31.7
50.81°, I = 30.6
38.31°, I = 30.2
56.16°, I = 23.5
32.65°, I = 21.9
61.06°, I = 17.2

Lattice parameters (Å, degrees): 6.071 14.843 8.141 90.00 90.00 90.00
Space group Cmce (No. 64)
Asymmetric unit:
Ce  0.000  0.117  0.076
Ga  0.000  0.000  0.500
Ga  0.250  0.214  0.750
Ge  0.000  0.184  0.444
Ge  0.250  0.043  0.750